Diffraction record for Nd2Ir7. The X-ray diffraction stick pattern is computed, not measured: it uses the PBE geometry in the Materials Project and Cu Kα (weighted mean of Kα1 and Kα2).
Peak positions follow from Bragg's law for the DFT cell and can differ from measured ones.

Most intense lines, 2θ = 15–90°, most intense first:
| Position (°2θ) | I_rel | index |
| --- | --- | --- |
| 39.3 | 100 | 1 1 9 |
| 42.9 | 34 | 2 0 8 |
| 41.1 | 29 | 0 0 18 |
| 70.0 | 28 | 2 2 0 |
| 19.2 | 27 | 1 0 1 |
| 63.6 | 25 | 0 3 9 |
| 38.7 | 25 | 0 2 1 |
| 84.5 | 23 | 2 2 18 |
| 45.2 | 20 | 0 2 10 |
| 33.3 | 19 | 1 1 0 |

Atomic structure:
a b c (Å): 5.3762 5.3762 39.5586
angles (deg): 90.00 90.00 120.00
Space group R-3m (No. 166, hexagonal axes)
Symmetry-distinct sites (fractional):
Nd 0.0000 0.0000 0.0506 [6 per cell]
Nd 0.0000 0.0000 0.1480 [6 per cell]
Ir 0.0000 0.0000 0.2776 [6 per cell]
Ir 0.0000 0.0000 0.3885 [6 per cell]
Ir 0.0000 0.0000 0.5000 [3 per cell]
Ir 0.0000 0.5000 0.0000 [9 per cell]
Ir 0.0016 0.5008 0.1095 [18 per cell]